1.
For MgF, DFT lattice parameters and positions (GGA-PBE) gives the calculated X-ray powder pattern in this record (Cu Kα (λ = 1.5418 Å)).
Lines closer than 0.1° are merged.

Structure:
Unit cell a=8.9467 b=8.9467 c=3.1476 alpha=90.00 beta=90.00 gamma=120.00
Element x y z (fractional)
1 Mg 0.0450 0.3792 0.2500
2 Mg 0.3342 0.9550 0.2500
3 Mg 0.3792 0.3342 0.7500
4 Mg 0.6208 0.6658 0.2500
5 Mg 0.6658 0.0450 0.7500
6 Mg 0.9550 0.6208 0.7500
7 F 0.1445 0.3149 0.7500
8 F 0.1705 0.8555 0.7500
9 F 0.3149 0.1705 0.2500
10 F 0.6851 0.8295 0.7500
11 F 0.8295 0.1445 0.2500
12 F 0.8555 0.6851 0.2500

Principal peaks in the range 2θ = 10–80°, most intense first:
2theta  I_rel
19.85  100
34.85  46
55.72  29
30.53  25
42.15  24
36.79  14
51.42  13
34.73  12
62.34  12
50.03  10
22.96  9
46.91  9

---

2.
For MgF4, DFT lattice parameters and positions (GGA-PBE) gives the calculated X-ray powder pattern in this record (Cu Kα (λ = 1.5418 Å)).
Lines closer than 0.1° are merged.

Structure:
Unit cell a=3.1553 b=3.1553 c=7.8459 alpha=107.35 beta=107.35 gamma=60.99
Element x y z (fractional)
1 Mg 0.0000 0.0000 0.0000
2 F 0.2343 0.2343 0.4655
3 F 0.2712 0.2712 0.8755
4 F 0.7288 0.7288 0.1245
5 F 0.7657 0.7657 0.5345

Principal peaks in the range 2θ = 10–80°, most intense first:
2theta  I_rel
24.18  100
45.02  64
41.29  54
32.97  36
37.39  32
12.02  31
58.88  29
66.44  25
35.18  24
57.57  18
60.78  14
73.28  14

---

3.
For MgF, DFT lattice parameters and positions (GGA-PBE) gives the calculated X-ray powder pattern in this record (Cu Kα (λ = 1.5418 Å)).
Lines closer than 0.1° are merged.

Structure:
Unit cell a=5.3934 b=5.3934 c=5.3934 alpha=115.07 beta=115.07 gamma=98.77
Element x y z (fractional)
1 Mg 0.0934 0.1250 0.4684
2 Mg 0.3750 0.9066 0.0316
3 Mg 0.6566 0.6250 0.5316
4 Mg 0.8750 0.3434 0.9684
5 F 0.3100 0.6250 0.1850
6 F 0.3750 0.5599 0.6849
7 F 0.4400 0.1250 0.8151
8 F 0.8750 0.6901 0.3150

Principal peaks in the range 2θ = 10–80°, most intense first:
2theta  I_rel
30.89  100
56.70  67
33.63  61
37.00  59
19.87  38
40.38  36
52.10  26
61.81  24
74.61  23
52.72  17
59.00  17
64.36  12

---

4.
For MgF, DFT lattice parameters and positions (GGA-PBE) gives the calculated X-ray powder pattern in this record (Cu Kα (λ = 1.5418 Å)).
Lines closer than 0.1° are merged.

Structure:
Unit cell a=7.8944 b=7.8944 c=7.8944 alpha=22.98 beta=22.98 gamma=22.98
Element x y z (fractional)
1 Mg 0.0000 0.0000 0.0000
2 Mg 0.5000 0.5000 0.5000
3 F 0.1261 0.1261 0.1261
4 F 0.8739 0.8739 0.8739

Principal peaks in the range 2θ = 10–80°, most intense first:
2theta  I_rel
11.52  100
45.85  79
23.15  63
33.81  63
58.71  34
33.12  20
63.97  20
51.97  16
74.52  15
77.53  13
38.39  12
43.10  10